(1)
Computed XRD peak list of Li4Sm3Ge4 for CuKα, from a DFT-relaxed cell (PBE, the Materials Project).

Most intense lines, 2θ = 10–90°, sorted by position:
| two_theta | d [Å] | I (rel.) |
| --- | --- | --- |
| 21.1 | 4.214 | 250 |
| 26.3 | 3.394 | 325 |
| 27.3 | 3.265 | 247 |
| 33.4 | 2.684 | 255 |
| 33.9 | 2.643 | 740 |
| 34.5 | 2.597 | 1000 |
| 41.0 | 2.200 | 258 |
| 67.4 | 1.389 | 240 |

Structure:
Lattice parameters (Å, degrees): 8.3496 8.3496 8.3496 149.44 132.04 57.95
Fractional positions:
1 Li 0.0188 0.8288 0.1900
2 Li 0.3611 0.1712 0.1900
3 Li 0.6389 0.8288 0.8100
4 Li 0.9812 0.1712 0.8100
5 Sm 0.0000 0.5000 0.5000
6 Sm 0.3697 0.3697 0.0000
7 Sm 0.6303 0.6303 0.0000
8 Ge 0.2133 0.7133 0.5000
9 Ge 0.3126 0.0000 0.3126
10 Ge 0.6874 0.0000 0.6874
11 Ge 0.7867 0.2867 0.5000

=====

(2)
Computed XRD peak list of TbH3 for CuKα, from a DFT-relaxed cell (PBE, the Materials Project).

Most intense lines, 2θ = 10–90°, sorted by position:
| two_theta | d [Å] | I (rel.) |
| --- | --- | --- |
| 26.7 | 3.336 | 333 |
| 27.8 | 3.207 | 224 |
| 30.9 | 2.891 | 1000 |
| 39.0 | 2.312 | 175 |
| 49.2 | 1.852 | 196 |
| 49.9 | 1.827 | 278 |
| 56.9 | 1.619 | 245 |
| 59.3 | 1.559 | 160 |

Structure:
Lattice parameters (Å, degrees): 3.7034 3.7034 6.6711 90.00 90.00 120.00
Fractional positions:
1 Tb 0.3333 0.6667 0.2500
2 Tb 0.6667 0.3333 0.7500
3 H 0.0000 0.0000 0.2500
4 H 0.0000 0.0000 0.7500
5 H 0.3333 0.6667 0.5943
6 H 0.3333 0.6667 0.9057
7 H 0.6667 0.3333 0.0943
8 H 0.6667 0.3333 0.4057

=====

(3)
Computed XRD peak list of TmMgAg2 for CuKα, from a DFT-relaxed cell (PBE, the Materials Project).

Most intense lines, 2θ = 10–90°, sorted by position:
| two_theta | d [Å] | I (rel.) |
| --- | --- | --- |
| 22.2 | 4.012 | 272 |
| 36.6 | 2.457 | 1000 |
| 43.2 | 2.095 | 146 |
| 52.7 | 1.737 | 171 |
| 57.8 | 1.594 | 63 |
| 65.8 | 1.418 | 342 |
| 77.7 | 1.228 | 106 |
| 89.1 | 1.099 | 156 |

Structure:
Lattice parameters (Å, degrees): 6.9485 6.9485 6.9485 90.00 90.00 90.00
Fractional positions:
1 Tm 0.0000 0.0000 0.0000
2 Tm 0.0000 0.5000 0.5000
3 Tm 0.5000 0.0000 0.5000
4 Tm 0.5000 0.5000 0.0000
5 Mg 0.0000 0.0000 0.5000
6 Mg 0.0000 0.5000 0.0000
7 Mg 0.5000 0.0000 0.0000
8 Mg 0.5000 0.5000 0.5000
9 Ag 0.2500 0.2500 0.2500
10 Ag 0.2500 0.2500 0.7500
11 Ag 0.2500 0.7500 0.2500
12 Ag 0.2500 0.7500 0.7500
13 Ag 0.7500 0.2500 0.2500
14 Ag 0.7500 0.2500 0.7500
15 Ag 0.7500 0.7500 0.2500
16 Ag 0.7500 0.7500 0.7500

=====

(4)
Computed XRD peak list of Hf3Ni3Sb4 for CuKα, from a DFT-relaxed cell (PBE, the Materials Project).

Most intense lines, 2θ = 10–90°, sorted by position:
| two_theta | d [Å] | I (rel.) |
| --- | --- | --- |
| 31.1 | 2.873 | 560 |
| 37.0 | 2.428 | 1000 |
| 44.6 | 2.031 | 363 |
| 46.9 | 1.937 | 113 |
| 49.1 | 1.854 | 153 |
| 63.1 | 1.474 | 191 |
| 64.9 | 1.436 | 116 |
| 77.2 | 1.236 | 134 |

Structure:
Lattice parameters (Å, degrees): 7.8675 7.8675 7.8675 109.47 109.47 109.47
Fractional positions:
1 Hf 0.1250 0.7500 0.8750
2 Hf 0.2500 0.6250 0.3750
3 Hf 0.3750 0.2500 0.6250
4 Hf 0.6250 0.3750 0.2500
5 Hf 0.7500 0.8750 0.1250
6 Hf 0.8750 0.1250 0.7500
7 Ni 0.1250 0.8750 0.2500
8 Ni 0.2500 0.1250 0.8750
9 Ni 0.3750 0.6250 0.7500
10 Ni 0.6250 0.7500 0.3750
11 Ni 0.7500 0.3750 0.6250
12 Ni 0.8750 0.2500 0.1250
13 Sb 0.0000 0.3334 0.5000
14 Sb 0.0000 0.8334 0.5000
15 Sb 0.1666 0.1666 0.1666
16 Sb 0.3334 0.5000 0.0000
17 Sb 0.5000 0.0000 0.3334
18 Sb 0.5000 0.0000 0.8334
19 Sb 0.6666 0.6666 0.6666
20 Sb 0.8334 0.5000 0.0000

=====

Copy entry 4 word for word.
Computed XRD peak list of Hf3Ni3Sb4 for CuKα, from a DFT-relaxed cell (PBE, the Materials Project).

Most intense lines, 2θ = 10–90°, sorted by position:
| two_theta | d [Å] | I (rel.) |
| --- | --- | --- |
| 31.1 | 2.873 | 560 |
| 37.0 | 2.428 | 1000 |
| 44.6 | 2.031 | 363 |
| 46.9 | 1.937 | 113 |
| 49.1 | 1.854 | 153 |
| 63.1 | 1.474 | 191 |
| 64.9 | 1.436 | 116 |
| 77.2 | 1.236 | 134 |

Structure:
Lattice parameters (Å, degrees): 7.8675 7.8675 7.8675 109.47 109.47 109.47
Fractional positions:
1 Hf 0.1250 0.7500 0.8750
2 Hf 0.2500 0.6250 0.3750
3 Hf 0.3750 0.2500 0.6250
4 Hf 0.6250 0.3750 0.2500
5 Hf 0.7500 0.8750 0.1250
6 Hf 0.8750 0.1250 0.7500
7 Ni 0.1250 0.8750 0.2500
8 Ni 0.2500 0.1250 0.8750
9 Ni 0.3750 0.6250 0.7500
10 Ni 0.6250 0.7500 0.3750
11 Ni 0.7500 0.3750 0.6250
12 Ni 0.8750 0.2500 0.1250
13 Sb 0.0000 0.3334 0.5000
14 Sb 0.0000 0.8334 0.5000
15 Sb 0.1666 0.1666 0.1666
16 Sb 0.3334 0.5000 0.0000
17 Sb 0.5000 0.0000 0.3334
18 Sb 0.5000 0.0000 0.8334
19 Sb 0.6666 0.6666 0.6666
20 Sb 0.8334 0.5000 0.0000